Tb4GaPd: simulated X-ray powder pattern (Cu Kα X-rays), based on the PBE geometry in Alexandria.

Largest 10 diffraction maxima, by intensity, 2θ = 15–90°:
- 2θ = 34.58°, intensity 100
- 2θ = 35.76°, intensity 64
- 2θ = 29.64°, intensity 38
- 2θ = 17.60°, intensity 26
- 2θ = 27.36°, intensity 26
- 2θ = 46.16°, intensity 23
- 2θ = 69.93°, intensity 19
- 2θ = 39.81°, intensity 17
- 2θ = 33.21°, intensity 17
- 2θ = 25.64°, intensity 14

a b c (Å): 5.190 20.951 6.294
angles (deg): 90.00 90.00 90.00
Space group Cmc2_1 (No. 36)
Inequivalent atoms, fractional coordinates:
Tb1 0.000 0.057 0.000 x4
Tb2 0.000 0.191 0.283 x4
Tb3 0.000 0.213 0.797 x4
Tb4 0.000 0.385 0.059 x4
Ga1 0.000 0.341 0.535 x4
Pd1 0.000 0.075 0.506 x4